# 1
# Sc5NCl8
Computed PXRD pattern, Cu Kα (λ = 1.5418 Å). Input: the PBE geometry in the Materials Project.

Peak list (10 most intense, 2θ from 10° to 90°, in order of rising 2θ)
two_theta, Rel. int.
12.7, 33
14.6, 46
32.7, 34
33.8, 100
36.9, 26
37.3, 40
38.8, 35
40.0, 52
50.8, 46
52.0, 28

Atomic structure:
Unit cell a=18.126 b=3.518 c=12.134 alpha=90.00 beta=129.80 gamma=90.00
Space group C2/m (No. 12)
Asymmetric unit:
Sc1 0.000 0.000 0.000 x2
Sc2 0.011 0.500 0.389 x4
Sc3 0.155 0.000 0.667 x4
N1 0.000 0.000 0.500 x2
Cl1 0.028 0.000 0.237 x4
Cl2 0.130 0.500 0.103 x4
Cl3 0.169 0.500 0.831 x4
Cl4 0.196 0.500 0.563 x4

---

# 2
# Si2NCl5
Computed PXRD pattern, Cu Kα (λ = 1.5418 Å). Input: the PBE geometry in the Materials Project.

Peak list (10 most intense, 2θ from 10° to 90°, in order of rising 2θ)
two_theta, Rel. int.
10.5, 20
13.2, 38
14.8, 100
21.1, 16
25.4, 54
25.5, 50
26.3, 14
27.4, 24
30.1, 27
30.5, 27

Atomic structure:
Unit cell a=6.818 b=13.450 c=11.710 alpha=90.00 beta=112.21 gamma=90.00
Space group P2_1/c (No. 14)
Asymmetric unit:
Si1 0.058 0.087 0.492 x4
Si2 0.276 0.502 0.262 x4
N1 0.124 0.504 0.108 x4
Cl1 0.069 0.713 0.968 x4
Cl2 0.098 0.025 0.865 x4
Cl3 0.293 0.128 0.436 x4
Cl4 0.422 0.636 0.316 x4
Cl5 0.498 0.108 0.796 x4

---

# 3
# Si3NCl9
Computed PXRD pattern, Cu Kα (λ = 1.5418 Å). Input: the PBE geometry in the Materials Project.

Peak list (10 most intense, 2θ from 10° to 90°, in order of rising 2θ)
two_theta, Rel. int.
12.4, 38
13.2, 64
15.2, 33
17.9, 52
18.9, 100
19.3, 38
19.5, 74
21.9, 84
25.5, 33
25.6, 77

Atomic structure:
Unit cell a=9.402 b=10.168 c=10.903 alpha=86.82 beta=76.04 gamma=64.26
Space group P-1 (No. 2)
Asymmetric unit:
Si1 0.012 0.269 0.210 x2
Si2 0.194 0.653 0.439 x2
Si3 0.317 0.320 0.201 x2
N1 0.177 0.263 0.238 x2
Cl1 0.021 0.284 0.611 x2
Cl2 0.037 0.165 0.044 x2
Cl3 0.085 0.844 0.647 x2
Cl4 0.183 0.529 0.780 x2
Cl5 0.288 0.500 0.098 x2
Cl6 0.329 0.743 0.321 x2
Cl7 0.333 0.406 0.388 x2
Cl8 0.445 0.971 0.446 x2
Cl9 0.447 0.831 0.856 x2

---

# 4
# Si3NCl9
Computed PXRD pattern, Cu Kα (λ = 1.5418 Å). Input: the PBE geometry in the Materials Project.

Peak list (10 most intense, 2θ from 10° to 90°, in order of rising 2θ)
two_theta, Rel. int.
11.8, 30
12.4, 21
14.3, 25
14.8, 100
20.8, 21
26.7, 23
28.0, 24
29.9, 27
31.1, 45
31.4, 22

Atomic structure:
Unit cell a=6.839 b=8.879 c=14.618 alpha=93.08 beta=99.77 gamma=112.18
Space group P1 (No. 1)
Asymmetric unit:
Si1 0.000 0.000 0.000 x1
Si2 0.042 0.524 0.522 x1
Si3 0.216 0.822 0.420 x1
Si4 0.268 0.344 0.961 x1
Si5 0.841 0.512 0.318 x1
Si6 0.906 0.105 0.808 x1
N1 0.036 0.618 0.420 x1
N2 0.055 0.151 0.924 x1
Cl1 0.045 0.799 0.950 x1
Cl2 0.060 0.977 0.402 x1
Cl3 0.095 0.104 0.714 x1
Cl4 0.206 0.087 0.127 x1
Cl5 0.209 0.469 0.067 x1
Cl6 0.299 0.486 0.854 x1
Cl7 0.325 0.496 0.564 x1
Cl8 0.404 0.841 0.323 x1
Cl9 0.427 0.906 0.546 x1
Cl10 0.534 0.448 0.339 x1
Cl11 0.558 0.326 0.000 x1
Cl12 0.667 0.875 0.787 x1
Cl13 0.698 0.933 0.028 x1
Cl14 0.754 0.260 0.778 x1
Cl15 0.807 0.292 0.501 x1
Cl16 0.867 0.659 0.214 x1
Cl17 0.885 0.310 0.269 x1
Cl18 0.981 0.648 0.628 x1

---

# 5
# Sr2NCl
Computed PXRD pattern, Cu Kα (λ = 1.5418 Å). Input: the PBE geometry in the Materials Project.

Peak list (10 most intense, 2θ from 10° to 90°, in order of rising 2θ)
two_theta, Rel. int.
27.6, 47
31.3, 100
33.8, 31
38.0, 15
39.8, 16
43.2, 19
46.4, 39
57.0, 16
61.4, 22
76.5, 14

Atomic structure:
Unit cell a=3.9145 b=3.9145 c=21.3220 alpha=90.00 beta=90.00 gamma=120.00
Space group R-3m (No. 166, hexagonal axes)
Asymmetric unit:
Sr1 0.0000 0.0000 0.2299 x6
N1 0.0000 0.0000 0.5000 x3
Cl1 0.0000 0.0000 0.0000 x3

---

# 6
# TaN2Cl5
Computed PXRD pattern, Cu Kα (λ = 1.5418 Å). Input: the PBE geometry in the Materials Project.

Peak list (10 most intense, 2θ from 10° to 90°, in order of rising 2θ)
two_theta, Rel. int.
13.2, 100
17.4, 57
19.0, 26
19.2, 26
26.1, 17
27.1, 22
28.1, 22
35.2, 29
39.6, 13
40.4, 14

Atomic structure:
Unit cell a=7.205 b=7.205 c=18.455 alpha=90.00 beta=90.00 gamma=90.00
Space group I4/mmm (No. 139)
Asymmetric unit:
Ta1 0.000 0.000 0.116 x4
N1 0.000 0.000 0.000 x2
N2 0.000 0.000 0.500 x2
N3 0.000 0.500 0.250 x4
Cl1 0.000 0.000 0.242 x4
Cl2 0.230 0.230 0.102 x16

---

# 7
# TaN2Cl5
Computed PXRD pattern, Cu Kα (λ = 1.5418 Å). Input: the PBE geometry in the Materials Project.

Peak list (10 most intense, 2θ from 10° to 90°, in order of rising 2θ)
two_theta, Rel. int.
13.3, 100
17.7, 52
19.0, 52
26.1, 16
27.0, 23
28.5, 22
35.8, 25
37.2, 12
40.2, 15
40.8, 14

Atomic structure:
Unit cell a=7.100 b=7.100 c=18.638 alpha=90.00 beta=90.00 gamma=90.00
Space group P4/mnc (No. 128)
Asymmetric unit:
Ta1 0.000 0.000 0.115 x4
N1 0.000 0.000 0.000 x2
N2 0.000 0.000 0.500 x2
N3 0.000 0.500 0.250 x4
Cl1 0.000 0.000 0.239 x4
Cl2 0.195 0.266 0.101 x16

---

# 8
# TcN2Cl6
Computed PXRD pattern, Cu Kα (λ = 1.5418 Å). Input: the PBE geometry in the Materials Project.

Peak list (10 most intense, 2θ from 10° to 90°, in order of rising 2θ)
two_theta, Rel. int.
15.8, 100
18.3, 82
30.5, 37
31.9, 25
37.0, 69
41.6, 35
48.7, 22
53.3, 41
56.0, 19
56.9, 17

Atomic structure:
Unit cell a=9.717 b=9.717 c=9.717 alpha=90.00 beta=90.00 gamma=90.00
Space group Fm-3m (No. 225)
Asymmetric unit:
Tc1 0.000 0.000 0.000 x4
N1 0.250 0.250 0.250 x8
Cl1 0.000 0.000 0.237 x24